[1]
Structure and calculated powder diffraction line list of TbPm2TcN4 (a DFT-relaxed cell (PBE, Alexandria); a wavelength of 1.5418 Å).
Kinematic intensities with the Lorentz-polarization factor, no thermal factor.

Structural model:
Lattice parameters (Å, degrees): 6.1898 6.1898 11.9662 90.00 90.00 147.45
Atoms (fractional coordinates):
Tb 0.1317 0.8683 0.7500
Tb 0.8683 0.1317 0.2500
Pm 0.3678 0.6322 0.5399
Pm 0.3678 0.6322 0.9601
Pm 0.6322 0.3678 0.0399
Pm 0.6322 0.3678 0.4601
Tc 0.1389 0.8611 0.2500
Tc 0.8611 0.1389 0.7500
N 0.0000 0.0000 0.0000
N 0.0000 0.0000 0.5000
N 0.2680 0.7320 0.1367
N 0.2680 0.7320 0.3633
N 0.4402 0.5598 0.7500
N 0.5598 0.4402 0.2500
N 0.7320 0.2680 0.6367
N 0.7320 0.2680 0.8633

Most intense lines, 2θ = 10–80°, in order of rising 2θ:
- 2θ = 26.92°, I = 378
- 2θ = 29.87°, I = 428
- 2θ = 30.08°, I = 598
- 2θ = 30.72°, I = 917
- 2θ = 37.60°, I = 1000
- 2θ = 42.90°, I = 312
- 2θ = 46.74°, I = 211
- 2θ = 48.88°, I = 182
- 2θ = 52.77°, I = 177
- 2θ = 62.90°, I = 257


[2]
Structure and calculated powder diffraction line list of SmYEr14 (a DFT-relaxed cell (PBE, Alexandria); a wavelength of 1.5418 Å).
Kinematic intensities with the Lorentz-polarization factor, no thermal factor.

Structural model:
Lattice parameters (Å, degrees): 11.0311 6.8801 6.8801 72.20 90.00 90.00
Atoms (fractional coordinates):
Sm 0.0000 0.0000 0.0000
Y 0.0000 0.5523 0.5523
Er 0.0000 0.0703 0.4793
Er 0.0000 0.4793 0.0703
Er 0.2334 0.7605 0.7605
Er 0.2527 0.2726 0.6908
Er 0.2527 0.6908 0.2726
Er 0.2692 0.2042 0.2042
Er 0.5000 0.4125 0.4125
Er 0.5000 0.4874 0.8962
Er 0.5000 0.8962 0.4874
Er 0.5000 0.9647 0.9647
Er 0.7308 0.2042 0.2042
Er 0.7473 0.2726 0.6908
Er 0.7473 0.6908 0.2726
Er 0.7666 0.7605 0.7605

Most intense lines, 2θ = 10–80°, in order of rising 2θ:
- 2θ = 31.10°, I = 173
- 2θ = 31.77°, I = 1000
- 2θ = 32.21°, I = 160
- 2θ = 32.47°, I = 321
- 2θ = 33.24°, I = 99
- 2θ = 46.38°, I = 110
- 2θ = 53.36°, I = 90
- 2θ = 57.48°, I = 173
- 2θ = 63.86°, I = 99
- 2θ = 65.02°, I = 80


[3]
Structure and calculated powder diffraction line list of PmPr8Tm3 (a DFT-relaxed cell (PBE, Alexandria); a wavelength of 1.5418 Å).
Kinematic intensities with the Lorentz-polarization factor, no thermal factor.

Structural model:
Lattice parameters (Å, degrees): 6.1935 8.6495 9.0245 66.04 76.60 72.18
Atoms (fractional coordinates):
Pm 0.0000 0.0000 0.0000
Pr 0.0850 0.7312 0.4094
Pr 0.1941 0.2166 0.5924
Pr 0.3142 0.7395 0.7515
Pr 0.3445 0.4498 0.1738
Pr 0.6253 0.7509 0.0785
Pr 0.6332 0.4675 0.5021
Pr 0.7575 0.9945 0.6518
Pr 0.8664 0.4760 0.8398
Tm 0.4324 0.2234 0.9191
Tm 0.5146 0.9866 0.3320
Tm 0.9462 0.2159 0.2520

Most intense lines, 2θ = 10–80°, in order of rising 2θ:
- 2θ = 29.03°, I = 556
- 2θ = 30.36°, I = 746
- 2θ = 30.55°, I = 1000
- 2θ = 30.83°, I = 960
- 2θ = 32.16°, I = 947
- 2θ = 32.32°, I = 764
- 2θ = 33.79°, I = 313
- 2θ = 40.04°, I = 210
- 2θ = 45.12°, I = 201
- 2θ = 47.37°, I = 263